Co5Re: computed powder diffractogram (a wavelength of 1.5418 Å), based on a PBE-relaxed structure.
No peak broadening, texture or thermal motion is included.

Atomic structure:
```
data_Co5Re
_chemical_formula_sum 'Co20 Re4'
_space_group_name_H-M_alt 'F -4 3 m'
_space_group_IT_number 216
_space_group_name_Hall 'F -4 2 3'
_cell_length_a 6.478
_cell_length_b 6.478
_cell_length_c 6.478
_cell_angle_alpha 90.00
_cell_angle_beta 90.00
_cell_angle_gamma 90.00
loop_
_atom_site_label
_atom_site_fract_x
_atom_site_fract_y
_atom_site_fract_z
Co1 0.000 0.000 0.000
Co2 0.125 0.125 0.375
Re1 0.250 0.250 0.750
```

Main lines, by intensity (10° ≤ 2θ ≤ 90°):
Position (°2θ)	Rel. int.	(hkl)
46.50	1000	3 1 1
39.34	513	2 2 0
76.40	292	5 1 1
48.70	228	2 2 2
84.64	206	4 4 0
23.79	193	1 1 1
71.33	174	4 2 2
27.54	161	2 0 0
64.31	63	4 2 0
62.50	50	3 3 1



Co2Re: computed powder diffractogram (a wavelength of 1.5418 Å), based on a PBE-relaxed structure.
No peak broadening, texture or thermal motion is included.

Atomic structure:
```
data_Co2Re
_chemical_formula_sum 'Co16 Re8'
_space_group_name_H-M_alt 'P 63/m m c'
_space_group_IT_number 194
_space_group_name_Hall '-P 6c 2c'
_cell_length_a 4.6306
_cell_length_b 4.6306
_cell_length_c 15.1302
_cell_angle_alpha 90.00
_cell_angle_beta 90.00
_cell_angle_gamma 120.00
loop_
_atom_site_label
_atom_site_fract_x
_atom_site_fract_y
_atom_site_fract_z
Co1 0.0000 0.5000 0.0000
Co2 0.1628 0.3257 0.2500
Co3 0.3333 0.6667 0.1260
Re1 0.0000 0.0000 0.0900
Re2 0.3333 0.6667 0.6553
```

Main lines, by intensity (10° ≤ 2θ ≤ 90°):
Position (°2θ)	Rel. int.	(hkl)
45.96	1000	1 1 4
42.34	886	1 0 6
38.90	781	1 1 0
46.88	425	2 0 2
72.80	338	2 1 6
75.41	268	0 0 12
37.22	267	1 0 5
83.51	229	2 2 0
45.64	222	2 0 1
22.94	197	1 0 1